Starting from a structure optimized by DFT (PBE), the powder diffraction line list of Ba5Ru2Cl2O9 was computed for Cu Ka.
No peak broadening, texture or thermal motion is included.

Structural model:
Unit cell a=5.922 b=5.922 c=25.215 alpha=90.00 beta=90.00 gamma=120.00
Atoms (fractional coordinates):
Ba (0.333, 0.667, 0.082)
Ba (0.333, 0.667, 0.250)
Ba (0.333, 0.667, 0.418)
Ba (0.333, 0.667, 0.671)
Ba (0.333, 0.667, 0.829)
Ba (0.667, 0.333, 0.171)
Ba (0.667, 0.333, 0.329)
Ba (0.667, 0.333, 0.582)
Ba (0.667, 0.333, 0.750)
Ba (0.667, 0.333, 0.918)
Ru (0.000, 0.000, 0.193)
Ru (0.000, 0.000, 0.307)
Ru (0.000, 0.000, 0.693)
Ru (0.000, 0.000, 0.807)
Cl (0.333, 0.667, 0.546)
Cl (0.333, 0.667, 0.954)
Cl (0.667, 0.333, 0.046)
Cl (0.667, 0.333, 0.454)
O (0.151, 0.302, 0.750)
O (0.151, 0.849, 0.750)
O (0.160, 0.320, 0.155)
O (0.160, 0.320, 0.345)
O (0.160, 0.840, 0.155)
O (0.160, 0.840, 0.345)
O (0.302, 0.151, 0.250)
O (0.320, 0.160, 0.655)
O (0.320, 0.160, 0.845)
O (0.680, 0.840, 0.155)
O (0.680, 0.840, 0.345)
O (0.698, 0.849, 0.750)
O (0.840, 0.160, 0.655)
O (0.840, 0.160, 0.845)
O (0.840, 0.680, 0.655)
O (0.840, 0.680, 0.845)
O (0.849, 0.151, 0.250)
O (0.849, 0.698, 0.250)

Top 8 peaks for 10° ≤ 2θ ≤ 90°, in order of rising 2θ:
| hkl | 2θ (°) | d_spacing | intensity |
| --- | --- | --- | --- |
| 1 0 2 | 18.68 | 4.751 | 18 |
| 1 0 5 | 24.76 | 3.596 | 41 |
| 1 1 0 | 30.18 | 2.961 | 100 |
| 1 0 7 | 30.32 | 2.948 | 53 |
| 2 0 5 | 39.42 | 2.286 | 28 |
| 1 1 8 | 41.86 | 2.158 | 21 |
| 2 0 7 | 43.31 | 2.089 | 31 |
| 3 0 0 | 53.65 | 1.708 | 39 |

Starting from a structure optimized by DFT (PBE), the powder diffraction line list of LiMg6Si was computed for Cu Ka.
No peak broadening, texture or thermal motion is included.

Structural model:
Unit cell a=4.909 b=6.238 c=10.843 alpha=90.00 beta=90.00 gamma=90.00
Atoms (fractional coordinates):
Li (0.000, 0.000, 0.000)
Li (0.000, 0.500, 0.500)
Mg (0.000, 0.249, 0.249)
Mg (0.000, 0.251, 0.749)
Mg (0.000, 0.749, 0.749)
Mg (0.000, 0.751, 0.249)
Mg (0.500, 0.000, 0.165)
Mg (0.500, 0.000, 0.664)
Mg (0.500, 0.249, 0.419)
Mg (0.500, 0.251, 0.919)
Mg (0.500, 0.500, 0.164)
Mg (0.500, 0.500, 0.665)
Mg (0.500, 0.749, 0.919)
Mg (0.500, 0.751, 0.419)
Si (0.000, 0.000, 0.499)
Si (0.000, 0.500, 0.999)

Top 8 peaks for 10° ≤ 2θ ≤ 90°, in order of rising 2θ:
| hkl | 2θ (°) | d_spacing | intensity |
| --- | --- | --- | --- |
| 0 0 4 | 33.11 | 2.706 | 25 |
| 2 0 0 | 36.61 | 2.455 | 25 |
| 1 2 2 | 37.97 | 2.370 | 100 |
| 2 0 4 | 50.18 | 1.818 | 15 |
| 0 2 6 | 59.08 | 1.564 | 11 |
| 3 2 2 | 66.81 | 1.400 | 18 |
| 2 2 6 | 71.54 | 1.319 | 13 |
| 1 4 4 | 72.53 | 1.303 | 9 |